This entry pairs a crystal structure of PrSm2Tl2Hg2 with its theoretical X-ray powder pattern. Radiation: Cu Kα, 1.54184 Å. Structure: a GGA-PBE-relaxed structure.
Neutral-atom scattering factors, no anomalous dispersion.

Atomic structure:
Unit cell a=9.5599 b=9.5599 c=9.5599 alpha=30.63 beta=30.63 gamma=30.63
Atoms (fractional coordinates):
Pr1 0.0000 0.0000 0.0000
Sm1 0.1337 0.1337 0.1337
Sm2 0.8663 0.8663 0.8663
Tl1 0.2712 0.2712 0.2712
Tl2 0.7288 0.7288 0.7288
Hg1 0.4339 0.4339 0.4339
Hg2 0.5661 0.5661 0.5661

Peak list (6 most intense, 10 to 90 degrees two-theta, by intensity)
2θ 30.7, d 2.911, intensity 1000
2θ 35.6, d 2.525, intensity 823
2θ 47.7, d 1.907, intensity 300
2θ 60.9, d 1.522, intensity 291
2θ 63.9, d 1.457, intensity 220
2θ 75.3, d 1.262, intensity 179

***

This entry pairs a crystal structure of LaPm12Cd3 with its theoretical X-ray powder pattern. Radiation: Cu Kα, 1.54184 Å. Structure: a GGA-PBE-relaxed structure.
Neutral-atom scattering factors, no anomalous dispersion.

Atomic structure:
Unit cell a=4.9862 b=4.9862 c=20.2764 alpha=90.00 beta=90.00 gamma=90.00
Atoms (fractional coordinates):
La1 0.0000 0.0000 0.0000
Pm1 0.0000 0.5000 0.1331
Pm2 0.0000 0.5000 0.3784
Pm3 0.0000 0.5000 0.6216
Pm4 0.0000 0.5000 0.8669
Pm5 0.5000 0.0000 0.1331
Pm6 0.5000 0.0000 0.3784
Pm7 0.5000 0.0000 0.6216
Pm8 0.5000 0.0000 0.8669
Pm9 0.5000 0.5000 0.0000
Pm10 0.5000 0.5000 0.2569
Pm11 0.5000 0.5000 0.5000
Pm12 0.5000 0.5000 0.7431
Cd1 0.0000 0.0000 0.2581
Cd2 0.0000 0.0000 0.5000
Cd3 0.0000 0.0000 0.7419

Peak list (6 most intense, 10 to 90 degrees two-theta, by intensity)
2θ 30.9, d 2.894, intensity 1000
2θ 36.0, d 2.493, intensity 336
2θ 61.6, d 1.506, intensity 278
2θ 51.4, d 1.777, intensity 223
2θ 35.4, d 2.535, intensity 162
2θ 60.8, d 1.524, intensity 120

***

> Number 2 is which compound?

LaPm12Cd3

***

> What is the formula in the second record?

LaPm12Cd3

***

> Which formula does entry 1 have?

PrSm2Tl2Hg2